No. 1
The following is a computed PXRD pattern of Ca2Te2O7. It was derived from a PBE-relaxed structure, using λ = 1.5418 Å (Cu Kα).

Structural model:
```
Ca2Te2O7
1.0
3.6349 -4.5933 0.0000
3.6349 4.5933 0.0000
-0.1592 0.0000 5.4883
Ca Te O
2 2 7
Direct
0.2034 0.7966 0.0000
0.7966 0.2034 0.0000
0.2160 0.2160 0.5778
0.6982 0.6982 0.4033
0.0660 0.0660 0.2899
0.1195 0.4645 0.7340
0.4250 0.4250 0.3480
0.4645 0.1195 0.7340
0.5673 0.8779 0.1843
0.8779 0.5673 0.1843
0.9940 0.9940 0.7592
```

Principal peaks in the range 10° ≤ 2θ ≤ 80°, sorted by position:
- 16.15 deg, rel. 26
- 19.32 deg, rel. 40
- 22.75 deg, rel. 56
- 24.50 deg, rel. 21
- 25.28 deg, rel. 100
- 29.08 deg, rel. 37
- 29.88 deg, rel. 17
- 31.39 deg, rel. 39
- 36.00 deg, rel. 19
- 46.43 deg, rel. 30

No. 2
The following is a computed PXRD pattern of NaLi4Hf3S8. It was derived from a PBE-relaxed structure, using λ = 1.5418 Å (Cu Kα).

Structural model:
```
NaLi4Hf3S8
1.0
3.6991 2.1357 6.1004
-3.6991 2.1357 6.1004
0.0000 -4.2714 6.1004
Na Li Hf S
1 4 3 8
Direct
0.0000 0.0000 0.0000
0.0000 0.0000 0.5000
0.0000 0.5000 0.0000
0.5000 0.0000 0.0000
0.5000 0.5000 0.5000
0.0000 0.5000 0.5000
0.5000 0.0000 0.5000
0.5000 0.5000 0.0000
0.2520 0.2520 0.2520
0.2563 0.2563 0.7311
0.2563 0.7311 0.2563
0.2689 0.7437 0.7437
0.7311 0.2563 0.2563
0.7437 0.2689 0.7437
0.7437 0.7437 0.2689
0.7480 0.7480 0.7480
```

Principal peaks in the range 10° ≤ 2θ ≤ 80°, sorted by position:
- 14.52 deg, rel. 100
- 14.65 deg, rel. 28
- 28.27 deg, rel. 70
- 29.54 deg, rel. 17
- 34.17 deg, rel. 92
- 37.30 deg, rel. 27
- 44.74 deg, rel. 19
- 48.92 deg, rel. 32
- 49.27 deg, rel. 31
- 51.64 deg, rel. 26

No. 3
The following is a computed PXRD pattern of Ga2Sn2Pd5Au. It was derived from a PBE-relaxed structure, using λ = 1.5418 Å (Cu Kα).

Structural model:
```
Ga2Sn2Pd5Au
1.0
10.1376 0.0000 0.0000
0.0000 10.1376 0.0000
0.0000 0.0000 3.4481
Ga Sn Pd Au
4 4 10 2
Direct
0.1395 0.3605 0.0000
0.3605 0.8605 0.0000
0.6395 0.1395 0.0000
0.8605 0.6395 0.0000
0.1702 0.6702 0.0000
0.3298 0.1702 0.0000
0.6702 0.8298 0.0000
0.8298 0.3298 0.0000
0.0000 0.5000 0.5000
0.0126 0.2160 0.5000
0.2160 0.9874 0.5000
0.2840 0.4874 0.5000
0.4874 0.7160 0.5000
0.5000 0.0000 0.5000
0.5126 0.2840 0.5000
0.7160 0.5126 0.5000
0.7840 0.0126 0.5000
0.9874 0.7840 0.5000
0.0000 0.0000 0.0000
0.5000 0.5000 0.0000
```

Principal peaks in the range 10° ≤ 2θ ≤ 80°, sorted by position:
- 35.42 deg, rel. 15
- 36.15 deg, rel. 52
- 37.64 deg, rel. 20
- 38.34 deg, rel. 100
- 39.76 deg, rel. 15
- 44.36 deg, rel. 23
- 50.96 deg, rel. 18
- 53.12 deg, rel. 18
- 54.29 deg, rel. 15
- 76.74 deg, rel. 37

No. 4
The following is a computed PXRD pattern of CsLi3Hg4Br12. It was derived from a PBE-relaxed structure, using λ = 1.5418 Å (Cu Kα).

Structural model:
```
CsLi3Hg4Br12
1.0
7.6453 4.4140 3.4833
-7.6453 4.4140 3.4833
0.0000 -8.8281 3.4833
Cs Li Hg Br
1 3 4 12
Direct
0.0000 0.0000 0.0000
0.0000 0.5567 0.4433
0.4433 0.0000 0.5567
0.5567 0.4433 0.0000
0.0630 0.5000 0.9370
0.5000 0.5000 0.5000
0.5000 0.9370 0.0630
0.9370 0.0630 0.5000
0.0666 0.6650 0.7616
0.1059 0.8941 0.5000
0.2384 0.3350 0.9334
0.3305 0.6695 0.5000
0.3350 0.9334 0.2384
0.5000 0.1059 0.8941
0.5000 0.3305 0.6695
0.6650 0.7616 0.0666
0.6695 0.5000 0.3305
0.7616 0.0666 0.6650
0.8941 0.5000 0.1059
0.9334 0.2384 0.3350
```

Principal peaks in the range 10° ≤ 2θ ≤ 80°, sorted by position:
- 15.85 deg, rel. 79
- 19.67 deg, rel. 58
- 21.67 deg, rel. 100
- 24.63 deg, rel. 61
- 25.57 deg, rel. 94
- 25.71 deg, rel. 50
- 30.95 deg, rel. 46
- 38.09 deg, rel. 54
- 38.85 deg, rel. 58
- 51.37 deg, rel. 45

No. 5
The following is a computed PXRD pattern of K2SrYF6. It was derived from a PBE-relaxed structure, using λ = 1.5418 Å (Cu Kα).

Structural model:
```
K2SrYF6
1.0
6.4193 0.0000 0.0000
-3.2092 5.5670 0.0000
-3.2094 -1.8542 5.6746
K Sr Y F
2 1 1 6
Direct
0.0493 0.2747 0.3236
0.9507 0.7253 0.6764
0.5000 0.5000 0.0000
0.5000 0.0000 0.5000
0.0262 0.8176 0.3042
0.4049 0.7223 0.6960
0.4869 0.7089 0.3042
0.5131 0.2911 0.6958
0.5951 0.2777 0.3040
0.9738 0.1824 0.6958
```

Principal peaks in the range 10° ≤ 2θ ≤ 80°, sorted by position:
- 15.62 deg, rel. 19
- 19.06 deg, rel. 88
- 26.37 deg, rel. 100
- 27.78 deg, rel. 92
- 38.67 deg, rel. 88
- 42.51 deg, rel. 34
- 48.28 deg, rel. 41
- 49.13 deg, rel. 25
- 54.28 deg, rel. 19
- 57.38 deg, rel. 24

No. 6
The following is a computed PXRD pattern of Nd8ErTl6. It was derived from a PBE-relaxed structure, using λ = 1.5418 Å (Cu Kα).

Structural model:
```
Nd8ErTl6
1.0
4.6627 2.6920 6.6483
-4.6627 2.6920 6.6483
0.0000 -5.3840 6.6483
Nd Er Tl
8 1 6
Direct
0.0518 0.7244 0.3890
0.1652 0.1652 0.1652
0.2756 0.6110 0.9482
0.3890 0.0518 0.7244
0.6110 0.9482 0.2756
0.7244 0.3890 0.0518
0.8348 0.8348 0.8348
0.9482 0.2756 0.6110
0.5000 0.5000 0.5000
0.1162 0.4423 0.7668
0.2332 0.8838 0.5577
0.4423 0.7668 0.1162
0.5577 0.2332 0.8838
0.7668 0.1162 0.4423
0.8838 0.5577 0.2332
```

Principal peaks in the range 10° ≤ 2θ ≤ 80°, sorted by position:
- 19.03 deg, rel. 20
- 23.30 deg, rel. 18
- 33.10 deg, rel. 100
- 33.28 deg, rel. 95
- 47.64 deg, rel. 36
- 59.00 deg, rel. 20
- 59.36 deg, rel. 37
- 59.47 deg, rel. 18
- 79.22 deg, rel. 17
- 79.53 deg, rel. 16